(1)
For CaP4Br12O4, DFT lattice parameters and positions (PBE) gives the computed powder XRD pattern in this record (Cu Kα (λ = 1.5418 Å)).
Lines closer than 0.1° are merged.

Cell and atoms:
```
CaP4Br12O4
1.0
6.9371 0.0000 0.0000
1.6758 10.2509 0.0000
0.0781 0.0619 10.8815
Ca P Br O
1 4 12 4
direct
0.0000 0.0000 0.0000 Ca
0.2545 0.5241 0.9977 P
0.5200 0.0572 0.9949 P
0.7263 0.4037 0.4967 P
0.9989 0.8993 0.4957 P
0.2357 0.7320 0.4953 Br
0.3076 0.9824 0.8240 Br
0.3107 0.9910 0.1719 Br
0.4190 0.5703 0.8353 Br
0.4186 0.5742 0.1569 Br
0.5390 0.2516 0.4960 Br
0.7816 0.2434 0.9993 Br
0.8109 0.8668 0.6545 Br
0.8124 0.8685 0.3372 Br
0.9162 0.3586 0.6570 Br
0.9178 0.3627 0.3355 Br
0.9851 0.6767 0.9966 Br
0.0640 0.0275 0.4953 O
0.2041 0.3918 0.0002 O
0.6142 0.5375 0.4977 O
0.6928 0.9465 0.9961 O
```

Top 8 peaks for 2θ = 15–90°, in order of falling intensity:
Position (°2θ), intensity
19.1, 100.0
27.9, 69.1
27.8, 68.9
23.3, 64.9
21.6, 58.6
19.9, 53.2
24.7, 44.4
42.2, 39.5

---

(2)
For KEuZrSnO6, DFT lattice parameters and positions (PBE) gives the computed powder XRD pattern in this record (Cu Kα (λ = 1.5418 Å)).
Lines closer than 0.1° are merged.

Cell and atoms:
```
KEuZrSnO6
1.0
0.0000 4.1517 4.1517
4.1517 0.0000 4.1517
4.1517 4.1517 0.0000
K Eu Zr Sn O
1 1 1 1 6
direct
0.0000 0.0000 0.0000 K
0.5000 0.5000 0.5000 Eu
0.7500 0.7500 0.7500 Zr
0.2500 0.2500 0.2500 Sn
0.0019 0.0019 0.4981 O
0.0019 0.4981 0.0019 O
0.0019 0.4981 0.4981 O
0.4981 0.0019 0.0019 O
0.4981 0.0019 0.4981 O
0.4981 0.4981 0.0019 O
```

Top 8 peaks for 2θ = 15–90°, in order of falling intensity:
Position (°2θ), intensity
30.4, 100.0
54.1, 40.3
43.6, 33.3
88.0, 21.8
63.4, 20.4
18.5, 19.9
71.9, 17.6
35.9, 12.4

---

(3)
For K3LiNb6O15, DFT lattice parameters and positions (PBE) gives the computed powder XRD pattern in this record (Cu Kα (λ = 1.5418 Å)).
Lines closer than 0.1° are merged.

Cell and atoms:
```
K3LiNb6O15
1.0
4.0886 0.0000 0.0000
0.0000 12.9719 0.0000
-0.0769 0.0000 12.9651
K Li Nb O
6 2 12 30
direct
0.0000 0.0690 0.0000 K
0.0000 0.9310 0.5000 K
0.0046 0.4153 0.3472 K
0.0046 0.5847 0.8472 K
0.0166 0.2442 0.6689 K
0.0166 0.7558 0.1689 K
0.9891 0.1135 0.3078 Li
0.9891 0.8865 0.8078 Li
0.4981 0.2447 0.1766 Nb
0.4981 0.7553 0.6766 Nb
0.5061 0.4511 0.5983 Nb
0.5061 0.5489 0.0983 Nb
0.5092 0.0433 0.7480 Nb
0.5094 0.1730 0.4666 Nb
0.5094 0.8270 0.9666 Nb
0.5092 0.9567 0.2480 Nb
0.5105 0.3222 0.8755 Nb
0.5105 0.6778 0.3755 Nb
0.8534 0.3735 0.0453 Nb
0.8534 0.6265 0.5453 Nb
0.0104 0.1683 0.4571 O
0.0104 0.8317 0.9571 O
0.0110 0.0356 0.7506 O
0.0110 0.9644 0.2506 O
0.0141 0.2562 0.1653 O
0.0141 0.7438 0.6653 O
0.0220 0.4685 0.5859 O
0.0220 0.5315 0.0859 O
0.0269 0.3318 0.8892 O
0.0269 0.6682 0.3892 O
0.5072 0.1062 0.6024 O
0.5072 0.8938 0.1024 O
0.5102 0.0403 0.3794 O
0.5102 0.9597 0.8794 O
0.5112 0.3143 0.5290 O
0.5112 0.6857 0.0290 O
0.5157 0.1813 0.8106 O
0.5157 0.8187 0.3106 O
0.5170 0.0954 0.1738 O
0.5171 0.2466 0.3252 O
0.5169 0.4051 0.1701 O
0.5169 0.5949 0.6701 O
0.5171 0.7534 0.8252 O
0.5170 0.9046 0.6738 O
0.5201 0.2467 0.0152 O
0.5201 0.7533 0.5152 O
0.5254 0.4655 0.9550 O
0.5254 0.5345 0.4550 O
0.5258 0.3887 0.7353 O
0.5258 0.6113 0.2353 O
```

Top 8 peaks for 2θ = 15–90°, in order of falling intensity:
Position (°2θ), intensity
30.8, 100.0
21.7, 96.2
15.3, 91.3
28.4, 84.1
49.7, 68.1
31.0, 63.2
44.3, 40.9
33.1, 33.5

---

(4)
For Nd2HgO4, DFT lattice parameters and positions (PBE) gives the computed powder XRD pattern in this record (Cu Kα (λ = 1.5418 Å)).
Lines closer than 0.1° are merged.

Cell and atoms:
```
Nd2HgO4
1.0
7.0130 -1.9218 0.0000
7.0130 1.9218 0.0000
-5.3355 0.0000 8.8747
Nd Hg O
4 2 8
direct
0.1198 0.1198 0.4598 Nd
0.3413 0.3413 0.2016 Nd
0.6587 0.6587 0.7984 Nd
0.8802 0.8802 0.5402 Nd
0.3850 0.3850 0.8386 Hg
0.6150 0.6150 0.1614 Hg
0.0804 0.0804 0.6538 O
0.2717 0.2717 0.3895 O
0.2960 0.2960 0.9420 O
0.4635 0.4635 0.7211 O
0.5365 0.5365 0.2789 O
0.7040 0.7040 0.0580 O
0.7283 0.7283 0.6105 O
0.9196 0.9196 0.3462 O
```

Top 8 peaks for 2θ = 15–90°, in order of falling intensity:
Position (°2θ), intensity
31.3, 100.0
29.7, 69.2
34.1, 69.0
50.2, 66.6
30.2, 61.2
27.8, 55.3
24.8, 47.5
57.2, 47.4